# 1
The following is a simulated PXRD pattern of LiBeTe. It was derived from a structure optimized by DFT (GGA-PBE), using copper Kα.

Peak list (12 most intense, 10 to 80 degrees two-theta, low angle first)
two_theta	I (rel.)
19.75	57
26.05	81
32.90	100
45.95	23
48.46	32
50.47	28
53.58	11
57.66	20
62.61	15
68.34	12
69.00	11
76.69	17

Cell and atoms:
```
data_LiBeTe
_cell_length_a 3.9500
_cell_length_b 3.9500
_cell_length_c 4.4955
_cell_angle_alpha 90.00
_cell_angle_beta 90.00
_cell_angle_gamma 120.00
_symmetry_space_group_name_H-M 'P 3 m 1'
_symmetry_Int_Tables_number 156
loop_
_symmetry_equiv_pos_as_xyz
'x,y,z'
'-y,x-y,z'
'-x+y,-x,z'
'-y,-x,z'
'-x+y,y,z'
'x,x-y,z'
loop_
_atom_site_label
_atom_site_type_symbol
_atom_site_fract_x
_atom_site_fract_y
_atom_site_fract_z
Li1 Li 0.0000 0.0000 0.0000
Be1 Be 0.3333 0.6667 0.6462
Te1 Te 0.6667 0.3333 0.4701
```

# 2
The following is a simulated PXRD pattern of LiThBe17. It was derived from a structure optimized by DFT (GGA-PBE), using copper Kα.

Peak list (12 most intense, 10 to 80 degrees two-theta, low angle first)
two_theta	I (rel.)
15.36	100
20.64	56
22.90	39
27.69	29
31.01	22
33.29	39
34.70	17
36.23	29
38.90	24
47.29	20
48.35	14
54.58	16

Cell and atoms:
```
data_LiThBe17
_cell_length_a 7.7680
_cell_length_b 7.7680
_cell_length_c 11.1999
_cell_angle_alpha 90.00
_cell_angle_beta 90.00
_cell_angle_gamma 120.00
_symmetry_space_group_name_H-M 'R 3 m'
_symmetry_Int_Tables_number 160
_symmetry_space_group_name_Hall 'R 3 -2"'
loop_
_atom_site_label
_atom_site_type_symbol
_atom_site_fract_x
_atom_site_fract_y
_atom_site_fract_z
Li1 Li 0.0000 0.0000 0.0000
Th1 Th 0.0000 0.0000 0.6840
Be1 Be 0.0000 0.0000 0.2404
Be2 Be 0.0000 0.0000 0.4319
Be3 Be 0.0054 0.5027 0.1777
Be4 Be 0.0564 0.3849 0.0021
Be5 Be 0.1705 0.3411 0.1722
Be6 Be 0.1761 0.3523 0.8279
```

# 3
The following is a simulated PXRD pattern of LiTiBe10. It was derived from a structure optimized by DFT (GGA-PBE), using copper Kα.

Peak list (12 most intense, 10 to 80 degrees two-theta, low angle first)
two_theta	I (rel.)
11.76	100
20.55	28
23.74	13
28.11	20
31.52	17
32.92	14
35.05	57
40.93	18
41.62	17
48.58	14
49.41	37
49.57	18

Cell and atoms:
```
data_LiTiBe10
_cell_length_a 3.501
_cell_length_b 4.322
_cell_length_c 7.528
_cell_angle_alpha 90.00
_cell_angle_beta 90.00
_cell_angle_gamma 90.00
_symmetry_space_group_name_H-M 'P m m m'
_symmetry_Int_Tables_number 47
loop_
_symmetry_equiv_pos_as_xyz
'x,y,z'
'-x,-y,-z'
'-x,-y,z'
'x,y,-z'
'x,-y,-z'
'-x,y,z'
'-x,y,-z'
'x,-y,z'
loop_
_atom_site_label
_atom_site_type_symbol
_atom_site_fract_x
_atom_site_fract_y
_atom_site_fract_z
Li1 Li 0.000 0.000 0.000
Ti1 Ti 0.000 0.500 0.500
Be1 Be 0.000 0.000 0.325
Be2 Be 0.000 0.500 0.165
Be3 Be 0.500 0.000 0.500
Be4 Be 0.500 0.260 0.261
Be5 Be 0.500 0.500 0.000
```

# 4
The following is a simulated PXRD pattern of LiTiBe17. It was derived from a structure optimized by DFT (GGA-PBE), using copper Kα.

Peak list (12 most intense, 10 to 80 degrees two-theta, low angle first)
two_theta	I (rel.)
16.16	100
21.56	53
29.26	27
32.65	21
34.86	45
36.07	18
38.34	24
41.07	25
42.63	29
43.93	21
49.64	32
49.88	57

Cell and atoms:
```
data_LiTiBe17
_cell_length_a 7.3464
_cell_length_b 7.3464
_cell_length_c 10.8232
_cell_angle_alpha 90.00
_cell_angle_beta 90.00
_cell_angle_gamma 120.00
_symmetry_space_group_name_H-M 'R 3 m'
_symmetry_Int_Tables_number 160
_symmetry_space_group_name_Hall 'R 3 -2"'
loop_
_atom_site_label
_atom_site_type_symbol
_atom_site_fract_x
_atom_site_fract_y
_atom_site_fract_z
Li1 Li 0.0000 0.0000 0.0000
Ti1 Ti 0.0000 0.0000 0.6796
Be1 Be 0.0000 0.0000 0.2450
Be2 Be 0.0000 0.0000 0.4430
Be3 Be 0.9998 0.4999 0.4980
Be4 Be 0.0371 0.3692 0.0102
Be5 Be 0.1686 0.3371 0.5183
Be6 Be 0.1719 0.3438 0.1817
```

# 5
The following is a simulated PXRD pattern of LiBe17W. It was derived from a structure optimized by DFT (GGA-PBE), using copper Kα.

Peak list (12 most intense, 10 to 80 degrees two-theta, low angle first)
two_theta	I (rel.)
16.27	100
21.73	52
24.37	34
29.45	26
32.88	19
35.13	35
36.40	15
38.58	25
41.35	22
42.89	13
50.24	20
51.17	17

Cell and atoms:
```
data_LiBe17W
_cell_length_a 7.3036
_cell_length_b 7.3036
_cell_length_c 10.7241
_cell_angle_alpha 90.00
_cell_angle_beta 90.00
_cell_angle_gamma 120.00
_symmetry_space_group_name_H-M 'R 3 m'
_symmetry_Int_Tables_number 160
_symmetry_space_group_name_Hall 'R 3 -2"'
loop_
_atom_site_label
_atom_site_type_symbol
_atom_site_fract_x
_atom_site_fract_y
_atom_site_fract_z
Li1 Li 0.0000 0.0000 0.0000
Be1 Be 0.0000 0.0000 0.5507
Be2 Be 0.0000 0.0000 0.7493
Be3 Be 0.0008 0.2985 0.6522
Be4 Be 0.0041 0.5021 0.8090
Be5 Be 0.0093 0.5047 0.1467
Be6 Be 0.1696 0.3392 0.8308
W1 W 0.0000 0.0000 0.3182
```

# 6
The following is a simulated PXRD pattern of Li2YBe. It was derived from a structure optimized by DFT (GGA-PBE), using copper Kα.

Peak list (12 most intense, 10 to 80 degrees two-theta, low angle first)
two_theta	I (rel.)
12.41	100
24.97	21
26.63	17
27.04	16
29.42	14
29.53	14
29.85	28
36.74	10
36.91	10
37.14	20
38.32	20
40.43	21

Cell and atoms:
```
data_Li2YBe
_cell_length_a 3.348
_cell_length_b 3.297
_cell_length_c 7.132
_cell_angle_alpha 90.00
_cell_angle_beta 90.25
_cell_angle_gamma 90.00
_symmetry_space_group_name_H-M 'P 1 m 1'
_symmetry_Int_Tables_number 6
loop_
_symmetry_equiv_pos_as_xyz
'x,y,z'
'x,-y,z'
loop_
_atom_site_label
_atom_site_type_symbol
_atom_site_fract_x
_atom_site_fract_y
_atom_site_fract_z
Li1 Li 0.000 0.000 0.000
Li2 Li 0.500 0.500 0.227
Y1 Y 0.501 0.500 0.653
Be1 Be 0.000 0.000 0.417
```

# 7
The following is a simulated PXRD pattern of LiBe2Zn. It was derived from a structure optimized by DFT (GGA-PBE), using copper Kα.

Peak list (12 most intense, 10 to 80 degrees two-theta, low angle first)
two_theta	I (rel.)
22.42	100
39.36	24
40.04	22
45.77	27
46.33	17
46.45	9
52.09	20
61.87	8
62.00	4
62.34	7
67.20	8
71.77	5

Cell and atoms:
```
data_LiBe2Zn
_cell_length_a 4.837
_cell_length_b 7.941
_cell_length_c 2.384
_cell_angle_alpha 90.00
_cell_angle_beta 109.04
_cell_angle_gamma 90.00
_symmetry_space_group_name_H-M 'C 1 2/m 1'
_symmetry_Int_Tables_number 12
loop_
_symmetry_equiv_pos_as_xyz
'x,y,z'
'-x,-y,-z'
'-x,y,-z'
'x,-y,z'
'x+1/2,y+1/2,z'
'-x+1/2,-y+1/2,-z'
'-x+1/2,y+1/2,-z'
'x+1/2,-y+1/2,z'
loop_
_atom_site_label
_atom_site_type_symbol
_atom_site_fract_x
_atom_site_fract_y
_atom_site_fract_z
Li1 Li 0.000 0.000 0.000
Be1 Be 0.250 0.250 0.500
Zn1 Zn 0.000 0.500 0.000
```

# 8
The following is a simulated PXRD pattern of LuBeOs. It was derived from a structure optimized by DFT (GGA-PBE), using copper Kα.

Peak list (11 most intense, 10 to 80 degrees two-theta, low angle first)
two_theta	I (rel.)
25.79	37
36.05	100
45.48	36
50.76	9
53.02	5
57.80	8
59.36	24
70.51	20
72.38	4
76.46	4
77.83	22

Cell and atoms:
```
data_LuBeOs
_cell_length_a 3.9885
_cell_length_b 3.9885
_cell_length_c 3.5972
_cell_angle_alpha 90.00
_cell_angle_beta 90.00
_cell_angle_gamma 120.00
_symmetry_space_group_name_H-M 'P -6 m 2'
_symmetry_Int_Tables_number 187
_symmetry_space_group_name_Hall 'P -6 2'
loop_
_atom_site_label
_atom_site_type_symbol
_atom_site_fract_x
_atom_site_fract_y
_atom_site_fract_z
Lu1 Lu 0.0000 0.0000 0.0000
Be1 Be 0.3333 0.6667 0.5000
Os1 Os 0.6667 0.3333 0.5000
```

# 9
The following is a simulated PXRD pattern of LuBeRu. It was derived from a structure optimized by DFT (GGA-PBE), using copper Kα.

Peak list (12 most intense, 10 to 80 degrees two-theta, low angle first)
two_theta	I (rel.)
19.08	23
29.61	94
38.71	22
39.98	59
40.58	100
56.87	28
57.82	20
66.30	19
71.77	14
73.02	35
74.22	12
77.86	16

Cell and atoms:
```
data_LuBeRu
_cell_length_a 3.189
_cell_length_b 3.189
_cell_length_c 9.304
_cell_angle_alpha 90.00
_cell_angle_beta 90.00
_cell_angle_gamma 90.00
_symmetry_space_group_name_H-M 'I 4 m m'
_symmetry_Int_Tables_number 107
_symmetry_space_group_name_Hall 'I 4 -2'
loop_
_atom_site_label
_atom_site_type_symbol
_atom_site_fract_x
_atom_site_fract_y
_atom_site_fract_z
Lu1 Lu 0.000 0.000 0.000
Be1 Be 0.000 0.000 0.713
Ru1 Ru 0.000 0.000 0.299
```

# 10
The following is a simulated PXRD pattern of Sm2LuBe. It was derived from a structure optimized by DFT (GGA-PBE), using copper Kα.

Peak list (12 most intense, 10 to 80 degrees two-theta, low angle first)
two_theta	I (rel.)
10.44	10
27.36	63
31.67	27
33.01	100
35.96	52
48.66	33
51.77	18
57.00	8
59.54	15
60.59	22
61.97	16
62.78	32

Cell and atoms:
```
data_Sm2LuBe
_cell_length_a 3.532
_cell_length_b 3.532
_cell_length_c 8.476
_cell_angle_alpha 90.00
_cell_angle_beta 90.00
_cell_angle_gamma 90.00
_symmetry_space_group_name_H-M 'P 4/m m m'
_symmetry_Int_Tables_number 123
_symmetry_space_group_name_Hall '-P 4 2'
loop_
_atom_site_label
_atom_site_type_symbol
_atom_site_fract_x
_atom_site_fract_y
_atom_site_fract_z
Sm1 Sm 0.000 0.000 0.199
Lu1 Lu 0.500 0.500 0.500
Be1 Be 0.500 0.500 0.000
```

# 11
The following is a simulated PXRD pattern of Mg5Be3. It was derived from a structure optimized by DFT (GGA-PBE), using copper Kα.

Peak list (12 most intense, 10 to 80 degrees two-theta, low angle first)
two_theta	I (rel.)
28.20	47
33.26	51
34.73	62
35.73	69
36.42	45
39.18	100
39.53	79
39.71	48
39.86	47
40.37	47
41.97	72
42.29	71

Cell and atoms:
```
data_Mg5Be3
_cell_length_a 5.422
_cell_length_b 14.325
_cell_length_c 7.306
_cell_angle_alpha 90.00
_cell_angle_beta 105.06
_cell_angle_gamma 90.00
_symmetry_space_group_name_H-M 'C 1 2/m 1'
_symmetry_Int_Tables_number 12
loop_
_symmetry_equiv_pos_as_xyz
'x,y,z'
'-x,-y,-z'
'-x,y,-z'
'x,-y,z'
'x+1/2,y+1/2,z'
'-x+1/2,-y+1/2,-z'
'-x+1/2,y+1/2,-z'
'x+1/2,-y+1/2,z'
loop_
_atom_site_label
_atom_site_type_symbol
_atom_site_fract_x
_atom_site_fract_y
_atom_site_fract_z
Mg1 Mg 0.134 0.181 0.207
Mg2 Mg 0.176 0.393 0.360
Mg3 Mg 0.244 0.500 0.981
Be1 Be 0.000 0.247 0.500
Be2 Be 0.000 0.337 0.000
Be3 Be 0.068 0.000 0.356
```

# 12
The following is a simulated PXRD pattern of Mg2Be3. It was derived from a structure optimized by DFT (GGA-PBE), using copper Kα.

Peak list (12 most intense, 10 to 80 degrees two-theta, low angle first)
two_theta	I (rel.)
22.15	27
26.08	30
28.49	89
34.19	95
38.35	100
38.46	98
39.66	81
43.74	62
45.18	59
50.04	53
58.96	24
66.46	27

Cell and atoms:
```
data_Mg2Be3
_cell_length_a 7.798
_cell_length_b 14.175
_cell_length_c 4.960
_cell_angle_alpha 90.00
_cell_angle_beta 90.00
_cell_angle_gamma 90.00
_symmetry_space_group_name_H-M 'F d d 2'
_symmetry_Int_Tables_number 43
_symmetry_space_group_name_Hall 'F 2 -2d'
loop_
_atom_site_label
_atom_site_type_symbol
_atom_site_fract_x
_atom_site_fract_y
_atom_site_fract_z
Mg1 Mg 0.082 0.296 0.000
Be1 Be 0.000 0.000 0.213
Be2 Be 0.087 0.372 0.504
```

# 13
The following is a simulated PXRD pattern of MgBe4. It was derived from a structure optimized by DFT (GGA-PBE), using copper Kα.

Peak list (12 most intense, 10 to 80 degrees two-theta, low angle first)
two_theta	I (rel.)
23.72	23
28.96	37
33.80	34
45.09	100
48.02	17
54.72	19
60.01	12
68.40	10
71.09	6
75.73	14
76.14	8
78.52	11

Cell and atoms:
```
data_MgBe4
_cell_length_a 5.305
_cell_length_b 5.305
_cell_length_c 3.789
_cell_angle_alpha 90.00
_cell_angle_beta 90.00
_cell_angle_gamma 90.00
_symmetry_space_group_name_H-M 'I 4/m m m'
_symmetry_Int_Tables_number 139
_symmetry_space_group_name_Hall '-I 4 2'
loop_
_atom_site_label
_atom_site_type_symbol
_atom_site_fract_x
_atom_site_fract_y
_atom_site_fract_z
Mg1 Mg 0.000 0.000 0.000
Be1 Be 0.000 0.312 0.500
```

# 14
The following is a simulated PXRD pattern of MgBe3. It was derived from a structure optimized by DFT (GGA-PBE), using copper Kα.

Peak list (12 most intense, 10 to 80 degrees two-theta, low angle first)
two_theta	I (rel.)
15.77	11
28.60	86
40.08	100
41.68	64
44.82	40
48.55	20
51.32	29
54.76	12
59.20	18
65.89	15
68.17	13
74.99	29

Cell and atoms:
```
data_MgBe3
_cell_length_a 4.3342
_cell_length_b 4.3342
_cell_length_c 5.6212
_cell_angle_alpha 90.00
_cell_angle_beta 90.00
_cell_angle_gamma 120.00
_symmetry_space_group_name_H-M 'P 3 m 1'
_symmetry_Int_Tables_number 156
loop_
_symmetry_equiv_pos_as_xyz
'x,y,z'
'-y,x-y,z'
'-x+y,-x,z'
'-y,-x,z'
'-x+y,y,z'
'x,x-y,z'
loop_
_atom_site_label
_atom_site_type_symbol
_atom_site_fract_x
_atom_site_fract_y
_atom_site_fract_z
Mg1 Mg 0.0000 0.0000 0.0000
Mg2 Mg 0.3333 0.6667 0.7282
Be1 Be 0.3333 0.6667 0.2650
Be2 Be 0.3382 0.1691 0.4359
Be3 Be 0.6667 0.3333 0.1182
Be4 Be 0.6667 0.3333 0.7571
```